Calculated XRD peak list of Li3Fe2S4 for CuKα, from the GGA-PBE geometry in OQMD.
Kinematic intensities with the Lorentz-polarization factor, no thermal factor.

The 10 most intense peaks (2θ from 15° to 90°), low angle first:
- 17.21 deg, intensity 54
- 22.03 deg, intensity 77
- 23.68 deg, intensity 52
- 28.49 deg, intensity 100
- 28.76 deg, intensity 99
- 43.26 deg, intensity 67
- 45.42 deg, intensity 41
- 48.92 deg, intensity 56
- 51.04 deg, intensity 46
- 56.21 deg, intensity 43

Atomic structure:
a = 3.5793 Å, b = 10.3061 Å, c = 8.0701 Å
α = 90.00°, β = 90.78°, γ = 90.00°
Space group P2_1 (No. 4)
Inequivalent atoms, fractional coordinates:
Li: 0.0067 0.0000 0.4823
Li: 0.4782 0.2321 0.7318
Li: 0.4895 0.0343 0.9882
Fe: 0.0095 0.3525 0.2031
Fe: 0.4898 0.6869 0.6984
S: 0.0142 0.2579 0.4460
S: 0.0168 0.5662 0.2185
S: 0.4955 0.7824 0.9408
S: 0.4994 0.4768 0.7176

***

Calculated XRD peak list of LiZnFe2 for CuKα, from the GGA-PBE geometry in OQMD.
Kinematic intensities with the Lorentz-polarization factor, no thermal factor.

The 10 most intense peaks (2θ from 15° to 90°), low angle first:
- 15.38 deg, intensity 12
- 26.80 deg, intensity 8
- 31.04 deg, intensity 6
- 34.82 deg, intensity 19
- 44.47 deg, intensity 100
- 47.33 deg, intensity 7
- 52.69 deg, intensity 4
- 64.71 deg, intensity 15
- 66.96 deg, intensity 6
- 81.91 deg, intensity 28

Atomic structure:
a = 5.7619 Å, b = 5.7619 Å, c = 5.7619 Å
α = 90.00°, β = 90.00°, γ = 90.00°
Space group Pm-3m (No. 221)
Inequivalent atoms, fractional coordinates:
Li: 0.0000 0.0000 0.0000
Li: 0.0000 0.0000 0.5000
Zn: 0.0000 0.5000 0.5000
Zn: 0.5000 0.5000 0.5000
Fe: 0.2390 0.2390 0.2390

***

Calculated XRD peak list of Lu4FePN2 for CuKα, from the GGA-PBE geometry in OQMD.
Kinematic intensities with the Lorentz-polarization factor, no thermal factor.

The 10 most intense peaks (2θ from 15° to 90°), low angle first:
- 26.87 deg, intensity 17
- 30.15 deg, intensity 27
- 30.91 deg, intensity 29
- 36.48 deg, intensity 100
- 40.81 deg, intensity 23
- 53.54 deg, intensity 26
- 57.72 deg, intensity 15
- 60.90 deg, intensity 12
- 66.53 deg, intensity 17
- 69.43 deg, intensity 16

Atomic structure:
a = 3.4231 Å, b = 3.4231 Å, c = 13.2723 Å
α = 90.00°, β = 90.00°, γ = 120.00°
Space group P-6m2 (No. 187)
Inequivalent atoms, fractional coordinates:
Lu: 0.0000 0.0000 0.1430
Lu: 0.6667 0.3333 0.3447
Fe: 0.0000 0.0000 0.5000
P: 0.6667 0.3333 0.0000
N: 0.3333 0.6667 0.2377

***

Calculated XRD peak list of LuFeSb2 for CuKα, from the GGA-PBE geometry in OQMD.
Kinematic intensities with the Lorentz-polarization factor, no thermal factor.

The 10 most intense peaks (2θ from 15° to 90°), low angle first:
- 22.05 deg, intensity 7
- 25.52 deg, intensity 7
- 36.40 deg, intensity 100
- 42.96 deg, intensity 4
- 44.98 deg, intensity 2
- 52.42 deg, intensity 17
- 59.18 deg, intensity 3
- 65.49 deg, intensity 35
- 77.30 deg, intensity 11
- 88.58 deg, intensity 16

Atomic structure:
a = 6.9821 Å, b = 6.9821 Å, c = 6.9821 Å
α = 90.00°, β = 90.00°, γ = 90.00°
Space group F-43m (No. 216)
Inequivalent atoms, fractional coordinates:
Lu: 0.0000 0.0000 0.0000
Fe: 0.2500 0.2500 0.2500
Sb: 0.0000 0.0000 0.5000
Sb: 0.2500 0.2500 0.7500

***

Calculated XRD peak list of Lu2FeSe4 for CuKα, from the GGA-PBE geometry in OQMD.
Kinematic intensities with the Lorentz-polarization factor, no thermal factor.

The 10 most intense peaks (2θ from 15° to 90°), low angle first:
- 26.13 deg, intensity 77
- 31.64 deg, intensity 95
- 41.49 deg, intensity 32
- 45.36 deg, intensity 100
- 47.56 deg, intensity 13
- 56.36 deg, intensity 25
- 63.14 deg, intensity 19
- 66.09 deg, intensity 16
- 75.13 deg, intensity 32
- 83.80 deg, intensity 34

Atomic structure:
a = 11.3100 Å, b = 11.3100 Å, c = 11.3100 Å
α = 90.00°, β = 90.00°, γ = 90.00°
Space group Fd-3m (No. 227, origin choice 2)
Inequivalent atoms, fractional coordinates:
Lu: 0.0000 0.0000 0.0000
Fe: 0.1250 0.1250 0.6250
Se: 0.0017 0.0017 0.2483

***

Calculated XRD peak list of Lu7Fe2Se2 for CuKα, from the GGA-PBE geometry in OQMD.
Kinematic intensities with the Lorentz-polarization factor, no thermal factor.

The 10 most intense peaks (2θ from 15° to 90°), low angle first:
- 30.04 deg, intensity 27
- 30.37 deg, intensity 21
- 31.72 deg, intensity 65
- 31.86 deg, intensity 32
- 34.98 deg, intensity 69
- 35.62 deg, intensity 100
- 36.19 deg, intensity 53
- 38.48 deg, intensity 22
- 48.82 deg, intensity 29
- 61.46 deg, intensity 27

Atomic structure:
a = 3.7310 Å, b = 14.7828 Å, c = 9.0113 Å
α = 90.00°, β = 90.00°, γ = 90.00°
Space group Imm2 (No. 44)
Inequivalent atoms, fractional coordinates:
Lu: 0.0000 0.0000 0.0000
Lu: 0.0000 0.1282 0.5841
Lu: 0.0000 0.3133 0.3737
Lu: 0.0000 0.3580 0.7390
Fe: 0.0000 0.2364 0.0725
Se: 0.0000 0.0000 0.3396
Se: 0.0000 0.5000 0.2399